Calculated PXRD pattern of Ti2Mn3Te3O16 for Cu Kα (λ = 1.5418 Å), from a DFT-relaxed cell (GGA+U, Alexandria).
Kinematic intensities with the Lorentz-polarization factor, no thermal factor.

Structure:
```
data_Ti2Mn3Te3O16
_chemical_formula_sum 'Ti4 Mn6 Te6 O32'
_space_group_name_H-M_alt 'C 1 m 1'
_space_group_IT_number 8
_cell_length_a 11.3136
_cell_length_b 6.1192
_cell_length_c 9.4668
_cell_angle_alpha 90.00
_cell_angle_beta 95.06
_cell_angle_gamma 90.00
loop_
_space_group_symop_operation_xyz
'x,y,z'
'x,-y,z'
'x+1/2,y+1/2,z'
'x+1/2,-y+1/2,z'
loop_
_atom_site_label
_atom_site_type_symbol
_atom_site_fract_x
_atom_site_fract_y
_atom_site_fract_z
Ti1 Ti 0.0000 0.0000 0.0000
Ti2 Ti 0.1888 0.5000 0.4483
Mn1 Mn 0.0610 0.5000 0.7576
Mn2 Mn 0.4373 0.2510 0.2691
Te1 Te 0.1872 0.0000 0.2440
Te2 Te 0.3077 0.2498 0.7355
O1 O 0.0409 0.5000 0.3784
O2 O 0.0530 0.0000 0.3564
O3 O 0.1032 0.2058 0.1087
O4 O 0.1612 0.2775 0.6216
O5 O 0.2463 0.0000 0.8430
O6 O 0.2498 0.5000 0.8532
O7 O 0.2598 0.2559 0.3583
O8 O 0.3366 0.0000 0.1637
O9 O 0.3622 0.5000 0.6144
O10 O 0.3767 0.0000 0.6293
O11 O 0.3872 0.5000 0.1123
O12 O 0.4583 0.2594 0.8477
```

Peak list (10 most intense, 10 to 80 degrees two-theta, by angle)
2θ/deg	I (rel.)	(hkl)
17.61	50.2	2 0 -1
18.65	44.7	1 1 -1
18.82	100.0	0 0 2
19.34	23.1	1 1 1
32.36	25.4	4 0 -1
33.32	22.7	2 2 0
34.00	25.1	4 0 1
35.09	25.5	2 2 1
37.81	29.9	2 2 -2
41.11	24.9	4 0 -3